# 1
For ReC5BrO5, DFT lattice parameters and positions (GGA-PBE) gives the calculated PXRD pattern in this record (CuKα).
Peak positions follow from Bragg's law for the DFT cell and can differ from measured ones.

Cell and atoms:
```
ReC5BrO5
1.0
12.1749 0.0000 0.0000
0.0000 11.7800 0.0000
0.0000 0.0000 6.1895
Re C Br O
4 20 4 20
Cartesian
1.5174 2.9450 0.2704
4.5700 8.8350 3.3651
7.6048 2.9450 2.8244
10.6575 8.8350 5.9192
0.3436 2.9450 4.9261
0.4218 1.4942 1.1476
0.4218 4.3958 1.1476
2.6858 1.5033 5.6671
2.6858 4.3867 5.6671
3.4016 7.3933 2.5724
3.4016 10.2767 2.5724
5.6657 7.3842 4.2424
5.6657 10.2858 4.2424
5.7439 8.8350 1.8313
6.4310 2.9450 4.3582
6.5092 1.4942 1.9471
6.5092 4.3958 1.9471
8.7733 1.5033 3.6172
8.7733 4.3867 3.6172
9.4890 7.3933 0.5224
9.4890 10.2767 0.5224
11.7531 7.3842 5.0419
11.7531 10.2858 5.0419
11.8313 8.8350 1.2635
3.0088 8.8350 5.5094
3.0787 2.9450 2.4146
9.0962 8.8350 3.7749
9.1661 2.9450 0.6801
0.1961 6.5308 4.5724
0.1961 11.1392 4.5724
0.4265 8.8350 2.1404
2.7469 6.5478 2.1462
2.7469 11.1222 2.1462
3.3405 0.6578 5.2410
3.3405 5.2322 5.2410
5.6609 2.9450 5.2352
5.8913 0.6408 1.4776
5.8913 5.2492 1.4776
6.2835 6.5308 4.7119
6.2835 11.1392 4.7119
6.5140 8.8350 0.9543
8.8344 6.5478 0.9486
8.8344 11.1222 0.9486
9.4279 0.6578 4.0433
9.4279 5.2322 4.0433
11.7484 2.9450 4.0491
11.9788 0.6408 1.6171
11.9788 5.2492 1.6171
```

Most intense lines, 5° ≤ 2θ ≤ 70°, in order of rising 2θ:
2θ (°), I/Imax
15.04, 100
16.06, 48
16.39, 96
17.75, 36
22.08, 43
27.02, 28
27.35, 56
30.37, 46
30.72, 37
34.94, 42

# 2
For CaH16O10, DFT lattice parameters and positions (GGA-PBE) gives the calculated PXRD pattern in this record (CuKα).
Peak positions follow from Bragg's law for the DFT cell and can differ from measured ones.

Cell and atoms:
```
CaH16O10
1.0
6.5146 0.0000 0.0000
0.9666 6.4659 0.0000
1.3436 1.0142 11.1159
Ca H O
2 32 20
Cartesian
0.0000 0.0000 0.0000
1.6611 6.7908 5.4989
1.7480 4.6670 3.1750
1.8829 2.2700 7.6561
2.6712 2.7797 6.3967
3.4254 6.0417 8.6333
3.0496 2.7440 9.5571
2.7386 4.2847 4.3216
2.3610 3.8478 1.0486
2.0651 0.7808 2.1351
2.6327 1.7894 4.0249
4.0549 5.2851 9.8756
3.9585 6.7113 6.7277
2.6413 1.5221 0.8661
3.8680 5.0200 6.6248
4.2087 6.6434 3.8454
4.8487 4.5960 4.5255
4.8881 2.1947 6.5893
4.7635 5.4473 0.8532
5.8314 7.0058 6.7710
5.4943 2.3577 9.8744
6.0713 4.4070 10.0363
5.4660 5.5776 2.2741
4.9166 2.4310 1.0177
5.9101 6.6131 3.9186
5.6904 1.2984 8.7496
5.3972 2.4681 4.2799
6.7138 4.2897 6.3743
6.0479 1.8082 2.9950
7.0731 4.9253 7.7831
6.5773 2.4784 0.9626
8.1139 5.2127 9.5117
7.2505 4.1739 1.3267
8.0325 3.4871 9.3851
1.8512 4.7082 4.1588
2.1104 2.5074 9.4411
1.6543 4.5119 1.3929
1.9069 2.1810 6.6633
3.3698 5.9793 9.6256
2.3075 0.8856 3.8728
2.0077 0.7899 1.1346
3.4228 5.9198 6.9258
4.2026 3.5881 6.1860
3.6058 2.9363 0.6029
4.3591 3.6962 4.7118
5.0942 4.0517 10.2436
5.2312 5.9057 3.7948
5.4037 1.3501 6.8783
5.8061 1.4234 9.7197
5.6458 5.3961 1.2763
5.9673 1.6958 3.9825
6.8871 5.1484 6.7972
5.8294 1.9425 1.2765
7.3707 4.5995 9.3134
```

Most intense lines, 5° ≤ 2θ ≤ 70°, in order of rising 2θ:
2θ (°), I/Imax
13.79, 82
15.95, 100
18.15, 64
22.35, 75
26.01, 37
26.23, 40
26.49, 51
29.32, 92
30.76, 80
32.21, 56

# 3
For NbZn16, DFT lattice parameters and positions (GGA-PBE) gives the calculated PXRD pattern in this record (CuKα).
Peak positions follow from Bragg's law for the DFT cell and can differ from measured ones.

Cell and atoms:
```
NbZn16
1.0
3.8603 -5.7323 0.0000
3.8603 5.7323 0.0000
0.0000 0.0000 11.7198
Nb Zn
2 32
Cartesian
3.8603 5.1796 8.7899
3.8603 -5.1796 2.9300
0.0000 0.0000 0.0000
0.0000 0.0000 5.8599
2.5619 3.5902 6.6719
2.5619 3.5902 10.9078
3.8603 3.7159 1.6444
3.8603 3.7159 4.2155
2.6002 1.6505 2.9300
2.2895 0.5990 7.4281
2.2895 0.5990 10.1516
3.8603 2.4072 8.7899
2.2895 -0.5990 1.5682
2.2895 -0.5990 4.2917
5.1588 3.5902 6.6719
5.1588 3.5902 10.9078
3.8603 1.3771 0.3740
3.8603 1.3771 5.4859
2.6002 -1.6505 8.7899
5.1204 1.6505 2.9300
3.8603 -1.3771 6.2339
3.8603 -1.3771 11.3458
2.5619 -3.5902 0.8120
2.5619 -3.5902 5.0479
5.4312 0.5990 7.4281
5.4312 0.5990 10.1516
3.8603 -2.4072 2.9300
5.4312 -0.5990 1.5682
5.4312 -0.5990 4.2917
5.1204 -1.6505 8.7899
3.8603 -3.7159 7.5043
3.8603 -3.7159 10.0754
5.1588 -3.5902 0.8120
5.1588 -3.5902 5.0479
```

Most intense lines, 5° ≤ 2θ ≤ 70°, in order of rising 2θ:
2θ (°), I/Imax
38.58, 28
39.00, 63
39.92, 87
40.52, 78
41.05, 28
41.63, 70
41.80, 63
42.34, 20
42.81, 100
45.21, 29

# 4
For Ba2Cu3Br2O4, DFT lattice parameters and positions (GGA-PBE) gives the calculated PXRD pattern in this record (CuKα).
Peak positions follow from Bragg's law for the DFT cell and can differ from measured ones.

Cell and atoms:
```
Ba2Cu3Br2O4
1.0
-2.8044 2.8044 7.4759
2.8044 -2.8044 7.4759
2.8044 2.8044 -7.4759
Ba Cu Br O
2 3 2 4
Cartesian
0.0000 0.0000 1.9646
0.0000 0.0000 12.9872
2.8044 0.0000 0.0000
0.0000 2.8044 0.0000
0.0000 0.0000 7.4759
2.8044 0.0000 3.7379
0.0000 2.8044 3.7379
1.4528 1.4528 0.0000
1.3516 -1.3516 7.4759
-1.3516 1.3516 7.4759
1.3516 1.3516 7.4759
```

Most intense lines, 5° ≤ 2θ ≤ 70°, in order of rising 2θ:
2θ (°), I/Imax
16.88, 23
23.88, 82
31.91, 72
32.93, 100
33.97, 18
40.25, 36
45.76, 39
57.51, 39
59.43, 23
69.06, 20

# 5
For CeZr7O16, DFT lattice parameters and positions (GGA-PBE) gives the calculated PXRD pattern in this record (CuKα).
Peak positions follow from Bragg's law for the DFT cell and can differ from measured ones.

Cell and atoms:
```
CeZr7O16
1.0
6.9414 0.0000 0.0000
-3.3312 6.7003 0.0000
-3.3351 -1.6801 6.5084
Ce Zr O
1 7 16
Cartesian
0.0000 0.0000 0.0000
-3.3174 4.3358 6.3215
-0.0256 1.8832 3.1265
-1.5766 5.5400 3.4930
1.7756 3.0330 0.2792
1.7571 5.5773 2.8137
1.7966 1.3417 6.0445
3.5730 2.5495 3.2245
-1.9991 0.9451 3.0522
-5.2385 3.3886 6.3260
-3.6156 4.5728 4.0169
-0.2547 2.1669 0.8111
-3.0786 2.3008 5.4965
0.1888 -0.1711 2.3631
-1.3833 3.4865 3.2650
-1.3148 -0.6890 6.4585
-0.2333 5.8342 1.8864
-0.1952 1.6664 5.1779
1.4790 -0.8828 5.6540
1.5489 3.2720 2.4578
1.9318 5.2638 0.6611
2.0159 1.1287 3.8810
0.4050 5.3357 4.3419
3.7672 2.8359 1.1587
```

Most intense lines, 5° ≤ 2θ ≤ 70°, in order of rising 2θ:
2θ (°), I/Imax
23.53, 15
23.92, 12
27.45, 100
30.80, 70
33.24, 20
34.39, 16
48.12, 19
48.91, 12
52.78, 12
53.87, 13

# 6
For Dy2Al9Rh3, DFT lattice parameters and positions (GGA-PBE) gives the calculated PXRD pattern in this record (CuKα).
Peak positions follow from Bragg's law for the DFT cell and can differ from measured ones.

Cell and atoms:
```
Dy2Al9Rh3
1.0
6.5219 -3.8005 0.0000
6.5219 3.8005 0.0000
0.0000 0.0000 9.4877
Dy Al Rh
4 18 6
Cartesian
4.3887 2.5241 7.1158
8.6550 2.5241 7.1158
4.3887 -2.5241 2.3719
8.6550 -2.5241 2.3719
4.3509 2.5249 0.6949
4.3509 2.5249 4.0489
6.5219 2.8510 2.3719
6.5219 1.2625 5.2616
6.5219 1.2625 8.9700
8.6928 2.5249 0.6949
8.6928 2.5249 4.0489
5.1506 0.4399 2.3719
5.1506 -0.4399 7.1158
7.8932 0.4399 2.3719
7.8932 -0.4399 7.1158
4.3509 -2.5249 5.4388
4.3509 -2.5249 8.7928
6.5219 -1.2625 0.5177
6.5219 -1.2625 4.2261
6.5219 -2.8510 7.1158
8.6928 -2.5249 5.4388
8.6928 -2.5249 8.7928
0.0000 0.0000 0.0000
0.0000 0.0000 4.7438
4.2789 0.0000 0.0000
4.2789 0.0000 4.7438
8.7649 0.0000 0.0000
8.7649 0.0000 4.7438
```

Most intense lines, 5° ≤ 2θ ≤ 70°, in order of rising 2θ:
2θ (°), I/Imax
16.42, 31
25.40, 57
30.13, 52
30.26, 100
36.98, 35
37.09, 71
37.93, 46
41.24, 92
41.54, 44
57.27, 42

> What is the formula in the third record?

NbZn16